This entry pairs a crystal structure of Li2FeTeO6 with its theoretical X-ray diffraction stick pattern. Radiation: Cu Kα (weighted mean of Kα1 and Kα2). Structure: DFT lattice parameters and positions (GGA+U).
Intensities are scaled so that the largest is 100.

Most intense lines, 2θ from 5° to 70°, by angle:
2θ = 21.0°, rel. 26, (0 1 -1); 2θ = 23.8°, rel. 51, (0 1 0); 2θ = 24.0°, rel. 100, (1 -1 1); 2θ = 33.1°, rel. 19, (1 0 1); 2θ = 33.2°, rel. 37, (0 1 -2); 2θ = 35.0°, rel. 22, (2 -1 0); 2θ = 40.4°, rel. 21, (1 1 -2); 2θ = 49.1°, rel. 18, (2 -2 2); 2θ = 54.0°, rel. 15, (2 -1 2); 2θ = 54.1°, rel. 21, (1 1 -3)

Crystal structure
```
10
Lattice="5.126 0.000 0.000 -2.544 4.460 0.000 -0.002 -2.951 4.524" Properties=species:S:1:pos:R:3 pbc="T T T"
Li 0.000 0.000 0.000
Li -0.003 2.957 2.168
Fe -0.004 -0.006 3.834
Te 2.558 1.473 1.605
O -1.592 2.803 0.606
O -1.042 1.353 2.849
O 0.910 1.663 0.622
O 1.671 0.200 2.820
O 3.218 -0.039 0.612
O 4.456 -1.593 2.836
```